(1)
# LiCo7O7F
Computed powder diffraction line list, λ = 1.5418 Å (Cu Kα). Input: a structure optimized by DFT (PBE+U).
No peak broadening, texture or thermal motion is included.

Cell and atoms:
```
LiCo7O7F
1.0
3.2903 0.0000 0.0000
-1.6451 2.8494 0.0000
0.0000 0.0000 20.8735
Li Co O F
1 7 7 1
direct
0.0000 0.0000 0.0000
0.0000 0.0000 0.2553
0.0000 0.0000 0.5055
0.0000 0.0000 0.7563
0.3333 0.6667 0.1317
0.3333 0.6667 0.3802
0.3333 0.6667 0.6308
0.3333 0.6667 0.8810
0.0000 0.0000 0.1580
0.0000 0.0000 0.4086
0.0000 0.0000 0.6590
0.0000 0.0000 0.9100
0.3333 0.6667 0.2828
0.3333 0.6667 0.5338
0.3333 0.6667 0.7838
0.3333 0.6667 0.0352
```

Largest 10 diffraction maxima, in order of falling intensity, 2θ from 15° to 90°:
| 2theta | d_spacing | intensity |
| --- | --- | --- |
| 35.91 | 2.501 | 100 |
| 31.39 | 2.849 | 69 |
| 34.37 | 2.609 | 47 |
| 55.89 | 1.645 | 43 |
| 62.56 | 1.485 | 37 |
| 67.28 | 1.392 | 33 |
| 47.23 | 1.924 | 28 |
| 68.24 | 1.374 | 14 |
| 88.76 | 1.102 | 13 |
| 65.52 | 1.425 | 6 |



(2)
# Li4Co7O2F14
Computed powder diffraction line list, λ = 1.5418 Å (Cu Kα). Input: a structure optimized by DFT (PBE+U).
No peak broadening, texture or thermal motion is included.

Cell and atoms:
```
Li4Co7O2F14
1.0
6.0564 0.0000 0.0000
3.0177 5.4065 0.0000
0.1581 3.4083 9.8947
Li Co O F
4 7 2 14
direct
0.0302 0.1120 0.1881
0.4618 0.4147 0.3212
0.5382 0.5853 0.6788
0.9698 0.8880 0.8119
0.0000 0.0000 0.5000
0.0000 0.5000 0.0000
0.0000 0.5000 0.5000
0.2587 0.2616 0.7541
0.5000 0.0000 0.0000
0.5000 0.5000 0.0000
0.7413 0.7384 0.2459
0.1620 0.5734 0.8903
0.8380 0.4266 0.1097
0.0936 0.1490 0.3853
0.1189 0.6276 0.3767
0.1465 0.1145 0.8788
0.3351 0.9174 0.6313
0.3416 0.3969 0.6278
0.3717 0.8912 0.1216
0.3830 0.3540 0.1224
0.6170 0.6460 0.8776
0.6283 0.1088 0.8784
0.6584 0.6031 0.3722
0.6649 0.0826 0.3687
0.8535 0.8855 0.1212
0.8811 0.3724 0.6233
0.9064 0.8510 0.6147
```

Largest 10 diffraction maxima, in order of falling intensity, 2θ from 15° to 90°:
| 2theta | d_spacing | intensity |
| --- | --- | --- |
| 17.94 | 4.944 | 100 |
| 33.83 | 2.650 | 66 |
| 41.46 | 2.178 | 35 |
| 45.89 | 1.977 | 29 |
| 17.07 | 5.194 | 25 |
| 28.85 | 3.095 | 17 |
| 55.74 | 1.649 | 17 |
| 34.29 | 2.615 | 15 |
| 46.52 | 1.952 | 14 |
| 26.99 | 3.304 | 12 |



(3)
# Li4Co2OF7
Computed powder diffraction line list, λ = 1.5418 Å (Cu Kα). Input: a structure optimized by DFT (PBE+U).
No peak broadening, texture or thermal motion is included.

Cell and atoms:
```
Li4Co2OF7
1.0
5.1978 -3.0217 0.0000
5.1978 3.0217 0.0000
-3.6031 0.0000 9.6596
Li Co O F
8 4 2 14
direct
0.0636 0.5589 0.9276
0.2472 0.7528 0.5000
0.3089 0.8154 0.1734
0.3775 0.8739 0.8563
0.5589 0.0636 0.4276
0.7528 0.2472 0.0000
0.8154 0.3089 0.6734
0.8739 0.3775 0.3563
0.3053 0.3437 0.6883
0.3437 0.3053 0.1883
0.8112 0.8216 0.1826
0.8216 0.8112 0.6826
0.1820 0.6582 0.7860
0.6582 0.1820 0.2860
0.1816 0.2013 0.7920
0.1911 0.6812 0.2959
0.2013 0.1816 0.2920
0.4136 0.4447 0.0575
0.4283 0.9434 0.0567
0.4402 0.9702 0.5689
0.4447 0.4136 0.5575
0.6733 0.7089 0.2944
0.6812 0.1911 0.7959
0.7089 0.6733 0.7944
0.9116 0.9435 0.5563
0.9434 0.4283 0.5567
0.9435 0.9116 0.0563
0.9702 0.4402 0.0689
```

Largest 10 diffraction maxima, in order of falling intensity, 2θ from 15° to 90°:
| 2theta | d_spacing | intensity |
| --- | --- | --- |
| 18.37 | 4.830 | 100 |
| 18.22 | 4.870 | 96 |
| 34.99 | 2.565 | 83 |
| 42.83 | 2.112 | 81 |
| 20.89 | 4.252 | 49 |
| 42.52 | 2.126 | 43 |
| 30.28 | 2.952 | 26 |
| 61.72 | 1.503 | 25 |
| 62.16 | 1.493 | 25 |
| 29.56 | 3.022 | 18 |